(1)
Theoretical powder X-ray diffraction pattern of Ba2Sr3CaMg2Si4O16 for Cu Kα, 1.54184 Å, from a DFT-relaxed cell (GGA-PBE, Alexandria).

The 10 most intense peaks (2θ = 15–90°), in order of falling intensity:
2theta	I_rel	h k l
32.3	100	0 2 0
31.5	78	2 0 2
22.4	55	1 1 1
45.7	50	2 2 2
39.7	34	1 0 4
57.1	28	2 1 5
51.0	22	3 2 0
38.4	20	3 0 0
57.6	18	0 3 3
67.6	18	0 4 0

Structural model:
abc: 7.040 5.545 9.603
angles: 90.00 90.01 90.00
Fractional positions:
1 Ba 0.000 0.000 0.000
2 Ba 0.000 0.500 0.500
3 Sr 0.339 0.000 0.665
4 Sr 0.339 0.500 0.168
5 Sr 0.662 0.500 0.833
6 Ca 0.671 0.000 0.334
7 Mg 0.500 0.000 0.002
8 Mg 0.500 0.500 0.498
9 Si 0.227 0.000 0.333
10 Si 0.230 0.500 0.834
11 Si 0.771 0.000 0.664
12 Si 0.771 0.500 0.169
13 O 0.000 0.000 0.666
14 O 0.001 0.500 0.167
15 O 0.001 0.500 0.833
16 O 0.320 0.000 0.175
17 O 0.321 0.237 0.412
18 O 0.321 0.763 0.412
19 O 0.324 0.263 0.913
20 O 0.324 0.737 0.913
21 O 0.325 0.500 0.675
22 O 0.677 0.000 0.823
23 O 0.677 0.261 0.091
24 O 0.677 0.739 0.091
25 O 0.678 0.236 0.584
26 O 0.678 0.500 0.327
27 O 0.678 0.764 0.584
28 O 0.995 0.000 0.333

---

(2)
Theoretical powder X-ray diffraction pattern of Pm3Zn6Ge5 for Cu Kα, 1.54184 Å, from a DFT-relaxed cell (GGA-PBE, Alexandria).

The 10 most intense peaks (2θ = 15–90°), in order of falling intensity:
2theta	I_rel	h k l
35.0	100	1 3 2
33.6	51	1 0 3
43.5	26	2 0 0
48.8	23	0 3 5
56.0	23	1 6 3
43.5	22	0 6 0
67.4	20	2 3 5
74.3	18	3 3 2
63.2	15	2 6 0
30.4	14	1 3 0

Structural model:
abc: 4.162 12.494 10.429
angles: 90.00 90.00 90.00
Fractional positions:
1 Pm 0.250 0.082 0.250
2 Pm 0.250 0.418 0.250
3 Pm 0.250 0.750 0.245
4 Pm 0.750 0.250 0.755
5 Pm 0.750 0.582 0.750
6 Pm 0.750 0.918 0.750
7 Zn 0.250 0.083 0.882
8 Zn 0.250 0.250 0.025
9 Zn 0.250 0.250 0.493
10 Zn 0.250 0.417 0.882
11 Zn 0.250 0.592 0.505
12 Zn 0.250 0.908 0.505
13 Zn 0.750 0.092 0.495
14 Zn 0.750 0.408 0.495
15 Zn 0.750 0.583 0.118
16 Zn 0.750 0.750 0.507
17 Zn 0.750 0.750 0.975
18 Zn 0.750 0.917 0.118
19 Ge 0.250 0.083 0.642
20 Ge 0.250 0.417 0.642
21 Ge 0.250 0.612 0.978
22 Ge 0.250 0.750 0.676
23 Ge 0.250 0.888 0.978
24 Ge 0.750 0.112 0.022
25 Ge 0.750 0.250 0.324
26 Ge 0.750 0.388 0.022
27 Ge 0.750 0.583 0.358
28 Ge 0.750 0.917 0.358